The following is a calculated X-ray powder pattern of AsPbCl5. It was derived from a cell relaxed with PBE, using Cu Kα, 1.54184 Å.
Peak positions follow from Bragg's law for the DFT cell and can differ from measured ones.

Principal peaks in the range 2θ from 10° to 90°, low angle first:
6.543 Å, 13.53°, rel. 68; 6.476 Å, 13.67°, rel. 100; 6.282 Å, 14.10°, rel. 30; 4.339 Å, 20.47°, rel. 54; 4.029 Å, 22.06°, rel. 31; 3.902 Å, 22.79°, rel. 30; 3.661 Å, 24.31°, rel. 46; 2.564 Å, 35.00°, rel. 24

Structure:
Lattice parameters (Å, degrees): 7.8749 8.2783 9.5695 83.23 67.34 62.54
Fractional coordinates of all 14 atoms:
As: 0.0000 0.0000 0.0000
As: 0.1532 0.0336 0.4653
Pb: 0.7995 0.5364 0.8312
Pb: 0.8839 0.6006 0.3157
Cl: 0.0776 0.2277 0.0219
Cl: 0.2304 0.0761 0.6539
Cl: 0.3241 0.1588 0.2905
Cl: 0.4019 0.7176 0.9826
Cl: 0.4884 0.6969 0.3922
Cl: 0.6973 0.1952 0.9729
Cl: 0.8325 0.3054 0.5340
Cl: 0.8463 0.7470 0.5798
Cl: 0.8723 0.9813 0.2560
Cl: 0.9122 0.7006 0.9911


The following is a calculated X-ray powder pattern of Tb3Ce2Ho6Er. It was derived from a cell relaxed with PBE, using Cu Kα, 1.54184 Å.
Peak positions follow from Bragg's law for the DFT cell and can differ from measured ones.

Principal peaks in the range 2θ from 10° to 90°, low angle first:
2.879 Å, 31.06°, rel. 100; 2.494 Å, 36.02°, rel. 51; 1.763 Å, 51.85°, rel. 36; 1.504 Å, 61.66°, rel. 32; 1.502 Å, 61.75°, rel. 11; 1.440 Å, 64.72°, rel. 9; 1.145 Å, 84.65°, rel. 9; 1.143 Å, 84.79°, rel. 9

Structure:
Lattice parameters (Å, degrees): 6.1119 6.1119 11.6804 95.00 95.00 119.98
Fractional coordinates of all 12 atoms:
Tb: 0.0000 0.0000 0.0000
Tb: 0.3339 0.6661 0.0000
Tb: 0.6661 0.3339 0.0000
Ce: 0.1664 0.8336 0.5000
Ce: 0.8336 0.1664 0.5000
Ho: 0.0816 0.4167 0.2518
Ho: 0.2481 0.2481 0.7485
Ho: 0.4167 0.0816 0.2518
Ho: 0.5833 0.9184 0.7482
Ho: 0.7519 0.7519 0.2515
Ho: 0.9184 0.5833 0.7482
Er: 0.5000 0.5000 0.5000